No. 1
For Ba4CaZr5O15, a crystal structure in the Materials Project, relaxed with PBE gives the computed PXRD pattern in this record (Cu Kα).

Peak list (10 most intense, 2θ = 10–80°, by angle)
- 21.38°, 4.156 Å, I 1
- 22.59°, 3.935 Å, I 1
- 29.81°, 2.997 Å, I 100
- 36.72°, 2.447 Å, I 5
- 42.66°, 2.119 Å, I 33
- 52.91°, 1.730 Å, I 40
- 61.92°, 1.499 Å, I 20
- 70.22°, 1.340 Å, I 17
- 74.20°, 1.278 Å, I 1
- 78.10°, 1.224 Å, I 7

Crystal structure
```
data_Ba4CaZr5O15
_symmetry_space_group_name_H-M 'P 1'
_symmetry_Int_Tables_number 1
_cell_length_a 4.238
_cell_length_b 4.238
_cell_length_c 21.198
_cell_angle_alpha 90.00
_cell_angle_beta 90.00
_cell_angle_gamma 90.00
loop_
_symmetry_equiv_pos_as_xyz
'x,y,z'
loop_
_atom_site_label
_atom_site_type_symbol
_atom_site_fract_x
_atom_site_fract_y
_atom_site_fract_z
Ba1 Ba 0.000 0.000 0.100
Ba2 Ba 0.000 0.000 0.301
Ba3 Ba 0.000 0.000 0.699
Ba4 Ba 0.000 0.000 0.900
Ca1 Ca 0.000 0.000 0.500
Zr1 Zr 0.500 0.500 0.000
Zr2 Zr 0.500 0.500 0.201
Zr3 Zr 0.500 0.500 0.403
Zr4 Zr 0.500 0.500 0.597
Zr5 Zr 0.500 0.500 0.799
O1 O 0.000 0.500 0.000
O2 O 0.000 0.500 0.200
O3 O 0.000 0.500 0.404
O4 O 0.000 0.500 0.596
O5 O 0.000 0.500 0.800
O6 O 0.500 0.000 0.000
O7 O 0.500 0.000 0.200
O8 O 0.500 0.000 0.404
O9 O 0.500 0.000 0.596
O10 O 0.500 0.000 0.800
O11 O 0.500 0.500 0.100
O12 O 0.500 0.500 0.301
O13 O 0.500 0.500 0.500
O14 O 0.500 0.500 0.699
O15 O 0.500 0.500 0.900
```

=====

No. 2
For NbCr3Cu2S8, a crystal structure in the Materials Project, relaxed with PBE gives the computed PXRD pattern in this record (Cu Kα).

Peak list (10 most intense, 2θ = 10–80°, by angle)
- 15.32°, 5.782 Å, I 20
- 25.05°, 3.555 Å, I 43
- 29.50°, 3.028 Å, I 22
- 29.76°, 3.002 Å, I 100
- 30.28°, 2.952 Å, I 49
- 36.16°, 2.484 Å, I 70
- 47.16°, 1.927 Å, I 26
- 47.51°, 1.914 Å, I 33
- 51.41°, 1.778 Å, I 69
- 52.72°, 1.736 Å, I 63

Crystal structure
```
data_NbCr3Cu2S8
_symmetry_space_group_name_H-M 'P 1'
_symmetry_Int_Tables_number 1
_cell_length_a 6.945
_cell_length_b 6.945
_cell_length_c 6.957
_cell_angle_alpha 118.47
_cell_angle_beta 118.47
_cell_angle_gamma 61.57
loop_
_symmetry_equiv_pos_as_xyz
'x,y,z'
loop_
_atom_site_label
_atom_site_type_symbol
_atom_site_fract_x
_atom_site_fract_y
_atom_site_fract_z
Nb1 Nb 0.000 0.000 0.000
Cr1 Cr 0.030 0.464 0.004
Cr2 Cr 0.030 0.970 0.500
Cr3 Cr 0.536 0.970 0.996
Cu1 Cu 0.387 0.359 0.623
Cu2 Cu 0.641 0.613 0.377
S1 S 0.251 0.726 0.242
S2 S 0.268 0.215 0.760
S3 S 0.274 0.749 0.758
S4 S 0.284 0.210 0.232
S5 S 0.777 0.219 0.258
S6 S 0.781 0.223 0.742
S7 S 0.785 0.732 0.240
S8 S 0.790 0.716 0.768
```

=====

No. 3
For Ba10Pr5IrRu4O30, a crystal structure in the Materials Project, relaxed with PBE gives the computed PXRD pattern in this record (Cu Kα).

Peak list (10 most intense, 2θ = 10–80°, by angle)
- 29.13°, 3.066 Å, I 25
- 29.27°, 3.051 Å, I 100
- 29.44°, 3.034 Å, I 25
- 41.88°, 2.157 Å, I 44
- 51.74°, 1.767 Å, I 25
- 52.00°, 1.759 Å, I 10
- 52.12°, 1.755 Å, I 20
- 60.71°, 1.526 Å, I 18
- 68.78°, 1.365 Å, I 9
- 68.83°, 1.364 Å, I 9

Crystal structure
```
data_Ba10Pr5IrRu4O30
_symmetry_space_group_name_H-M 'P 1'
_symmetry_Int_Tables_number 1
_cell_length_a 6.100
_cell_length_b 6.100
_cell_length_c 25.241
_cell_angle_alpha 96.77
_cell_angle_beta 96.77
_cell_angle_gamma 59.65
loop_
_symmetry_equiv_pos_as_xyz
'x,y,z'
loop_
_atom_site_label
_atom_site_type_symbol
_atom_site_fract_x
_atom_site_fract_y
_atom_site_fract_z
Ba1 Ba 0.048 0.048 0.152
Ba2 Ba 0.152 0.152 0.449
Ba3 Ba 0.248 0.248 0.751
Ba4 Ba 0.352 0.352 0.050
Ba5 Ba 0.448 0.448 0.351
Ba6 Ba 0.552 0.552 0.649
Ba7 Ba 0.648 0.648 0.950
Ba8 Ba 0.752 0.752 0.249
Ba9 Ba 0.848 0.848 0.551
Ba10 Ba 0.952 0.952 0.848
Pr1 Pr 0.100 0.100 0.300
Pr2 Pr 0.300 0.300 0.900
Pr3 Pr 0.500 0.500 0.500
Pr4 Pr 0.700 0.700 0.100
Pr5 Pr 0.900 0.900 0.700
Ir1 Ir 0.000 0.000 0.000
Ru1 Ru 0.200 0.200 0.600
Ru2 Ru 0.400 0.400 0.200
Ru3 Ru 0.600 0.600 0.800
Ru4 Ru 0.800 0.800 0.400
O1 O 0.060 0.522 0.646
O2 O 0.062 0.062 0.646
O3 O 0.078 0.540 0.154
O4 O 0.122 0.659 0.446
O5 O 0.138 0.138 0.955
O6 O 0.140 0.678 0.955
O7 O 0.259 0.722 0.245
O8 O 0.262 0.262 0.245
O9 O 0.278 0.741 0.755
O10 O 0.322 0.860 0.045
O11 O 0.338 0.338 0.554
O12 O 0.341 0.878 0.554
O13 O 0.460 0.922 0.846
O14 O 0.462 0.462 0.846
O15 O 0.478 0.940 0.354
O16 O 0.522 0.060 0.646
O17 O 0.538 0.538 0.154
O18 O 0.540 0.078 0.154
O19 O 0.659 0.122 0.446
O20 O 0.662 0.662 0.446
O21 O 0.678 0.140 0.955
O22 O 0.722 0.259 0.245
O23 O 0.738 0.738 0.755
O24 O 0.741 0.278 0.755
O25 O 0.860 0.322 0.045
O26 O 0.862 0.862 0.045
O27 O 0.878 0.341 0.554
O28 O 0.922 0.460 0.846
O29 O 0.938 0.938 0.354
O30 O 0.940 0.478 0.354
```

=====

No. 4
For Y11In9Ni4, a crystal structure in the Materials Project, relaxed with PBE gives the computed PXRD pattern in this record (Cu Kα).

Peak list (10 most intense, 2θ = 10–80°, by angle)
- 31.01°, 2.884 Å, I 13
- 31.97°, 2.799 Å, I 11
- 32.53°, 2.752 Å, I 12
- 33.15°, 2.702 Å, I 14
- 34.77°, 2.580 Å, I 55
- 34.96°, 2.567 Å, I 100
- 37.52°, 2.397 Å, I 14
- 38.29°, 2.351 Å, I 15
- 49.97°, 1.825 Å, I 22
- 62.45°, 1.487 Å, I 23

Crystal structure
```
data_Y11In9Ni4
_symmetry_space_group_name_H-M 'P 1'
_symmetry_Int_Tables_number 1
_cell_length_a 13.107
_cell_length_b 13.107
_cell_length_c 3.652
_cell_angle_alpha 90.00
_cell_angle_beta 90.00
_cell_angle_gamma 113.14
loop_
_symmetry_equiv_pos_as_xyz
'x,y,z'
loop_
_atom_site_label
_atom_site_type_symbol
_atom_site_fract_x
_atom_site_fract_y
_atom_site_fract_z
Y1 Y 0.000 0.000 0.000
Y2 Y 0.078 0.416 0.000
Y3 Y 0.162 0.838 0.000
Y4 Y 0.312 0.312 0.000
Y5 Y 0.375 0.625 0.000
Y6 Y 0.416 0.078 0.000
Y7 Y 0.584 0.922 0.000
Y8 Y 0.625 0.375 0.000
Y9 Y 0.688 0.688 0.000
Y10 Y 0.838 0.162 0.000
Y11 Y 0.922 0.584 0.000
In1 In 0.076 0.219 0.500
In2 In 0.159 0.631 0.500
In3 In 0.219 0.076 0.500
In4 In 0.369 0.841 0.500
In5 In 0.500 0.500 0.500
In6 In 0.631 0.159 0.500
In7 In 0.781 0.924 0.500
In8 In 0.841 0.369 0.500
In9 In 0.924 0.781 0.500
Ni1 Ni 0.247 0.449 0.500
Ni2 Ni 0.449 0.247 0.500
Ni3 Ni 0.551 0.753 0.500
Ni4 Ni 0.753 0.551 0.500
```

=====

No. 5
For GaCu4Ni15, a crystal structure in the Materials Project, relaxed with PBE gives the computed PXRD pattern in this record (Cu Kα).

Peak list (5 most intense, 2θ = 10–80°, by angle)
- 44.31°, 2.044 Å, I 100
- 51.58°, 1.772 Å, I 31
- 51.72°, 1.767 Å, I 15
- 75.95°, 1.253 Å, I 9
- 76.06°, 1.251 Å, I 18

Crystal structure
```
data_GaCu4Ni15
_symmetry_space_group_name_H-M 'P 1'
_symmetry_Int_Tables_number 1
_cell_length_a 3.544
_cell_length_b 3.544
_cell_length_c 17.673
_cell_angle_alpha 90.00
_cell_angle_beta 90.00
_cell_angle_gamma 90.00
loop_
_symmetry_equiv_pos_as_xyz
'x,y,z'
loop_
_atom_site_label
_atom_site_type_symbol
_atom_site_fract_x
_atom_site_fract_y
_atom_site_fract_z
Ga1 Ga 0.000 0.000 0.000
Cu1 Cu 0.000 0.000 0.200
Cu2 Cu 0.000 0.000 0.400
Cu3 Cu 0.000 0.000 0.600
Cu4 Cu 0.000 0.000 0.800
Ni1 Ni 0.000 0.500 0.100
Ni2 Ni 0.000 0.500 0.300
Ni3 Ni 0.000 0.500 0.500
Ni4 Ni 0.000 0.500 0.700
Ni5 Ni 0.000 0.500 0.900
Ni6 Ni 0.500 0.000 0.100
Ni7 Ni 0.500 0.000 0.300
Ni8 Ni 0.500 0.000 0.500
Ni9 Ni 0.500 0.000 0.700
Ni10 Ni 0.500 0.000 0.900
Ni11 Ni 0.500 0.500 0.000
Ni12 Ni 0.500 0.500 0.200
Ni13 Ni 0.500 0.500 0.400
Ni14 Ni 0.500 0.500 0.600
Ni15 Ni 0.500 0.500 0.800
```

=====

No. 6
For KRb3CdCl6, a crystal structure in the Materials Project, relaxed with PBE gives the computed PXRD pattern in this record (Cu Kα).

Peak list (10 most intense, 2θ = 10–80°, by angle)
- 14.06°, 6.298 Å, I 76
- 22.30°, 3.987 Å, I 59
- 24.21°, 3.677 Å, I 86
- 28.34°, 3.149 Å, I 41
- 29.78°, 3.000 Å, I 63
- 31.48°, 2.842 Å, I 46
- 31.70°, 2.823 Å, I 62
- 33.14°, 2.703 Å, I 100
- 42.81°, 2.112 Å, I 49
- 63.86°, 1.458 Å, I 27

Crystal structure
```
data_KRb3CdCl6
_symmetry_space_group_name_H-M 'P 1'
_symmetry_Int_Tables_number 1
_cell_length_a 8.957
_cell_length_b 8.957
_cell_length_c 8.957
_cell_angle_alpha 90.64
_cell_angle_beta 90.64
_cell_angle_gamma 90.64
loop_
_symmetry_equiv_pos_as_xyz
'x,y,z'
loop_
_atom_site_label
_atom_site_type_symbol
_atom_site_fract_x
_atom_site_fract_y
_atom_site_fract_z
K1 K 0.250 0.250 0.250
K2 K 0.750 0.750 0.750
Rb1 Rb 0.128 0.750 0.372
Rb2 Rb 0.250 0.628 0.872
Rb3 Rb 0.372 0.128 0.750
Rb4 Rb 0.628 0.872 0.250
Rb5 Rb 0.750 0.372 0.128
Rb6 Rb 0.872 0.250 0.628
Cd1 Cd 0.000 0.000 0.000
Cd2 Cd 0.500 0.500 0.500
Cl1 Cl 0.050 0.924 0.711
Cl2 Cl 0.076 0.289 0.950
Cl3 Cl 0.211 0.424 0.550
Cl4 Cl 0.289 0.950 0.076
Cl5 Cl 0.424 0.550 0.211
Cl6 Cl 0.450 0.789 0.576
Cl7 Cl 0.550 0.211 0.424
Cl8 Cl 0.576 0.450 0.789
Cl9 Cl 0.711 0.050 0.924
Cl10 Cl 0.789 0.576 0.450
Cl11 Cl 0.924 0.711 0.050
Cl12 Cl 0.950 0.076 0.289
```

=====

No. 7
For Fe2Ge, a crystal structure in the Materials Project, relaxed with PBE gives the computed PXRD pattern in this record (Cu Kα).

Peak list (10 most intense, 2θ = 10–80°, by angle)
- 24.88°, 3.579 Å, I 1
- 30.70°, 2.912 Å, I 3
- 35.86°, 2.504 Å, I 9
- 43.81°, 2.066 Å, I 100
- 44.14°, 2.052 Å, I 83
- 54.45°, 1.685 Å, I 1
- 57.85°, 1.594 Å, I 13
- 63.94°, 1.456 Å, I 25
- 72.36°, 1.306 Å, I 1
- 76.00°, 1.252 Å, I 6

Crystal structure
```
data_Fe2Ge
_symmetry_space_group_name_H-M 'P 1'
_symmetry_Int_Tables_number 1
_cell_length_a 4.133
_cell_length_b 4.133
_cell_length_c 5.009
_cell_angle_alpha 90.00
_cell_angle_beta 90.00
_cell_angle_gamma 120.00
loop_
_symmetry_equiv_pos_as_xyz
'x,y,z'
loop_
_atom_site_label
_atom_site_type_symbol
_atom_site_fract_x
_atom_site_fract_y
_atom_site_fract_z
Fe1 Fe 0.000 0.000 0.000
Fe2 Fe 0.000 0.000 0.500
Fe3 Fe 0.333 0.667 0.250
Fe4 Fe 0.667 0.333 0.750
Ge1 Ge 0.333 0.667 0.750
Ge2 Ge 0.667 0.333 0.250
```

=====

No. 8
For CaHI, a crystal structure in the Materials Project, relaxed with PBE gives the computed PXRD pattern in this record (Cu Kα).

Peak list (10 most intense, 2θ = 10–80°, by angle)
- 18.84°, 4.710 Å, I 59
- 24.03°, 3.704 Å, I 96
- 29.17°, 3.062 Å, I 100
- 31.40°, 2.849 Å, I 86
- 36.27°, 2.477 Å, I 45
- 36.87°, 2.438 Å, I 45
- 44.56°, 2.033 Å, I 34
- 45.01°, 2.014 Å, I 32
- 51.65°, 1.770 Å, I 24
- 54.53°, 1.683 Å, I 32

Crystal structure
```
data_CaHI
_symmetry_space_group_name_H-M 'P 1'
_symmetry_Int_Tables_number 1
_cell_length_a 4.029
_cell_length_b 4.029
_cell_length_c 9.421
_cell_angle_alpha 90.00
_cell_angle_beta 90.00
_cell_angle_gamma 90.00
loop_
_symmetry_equiv_pos_as_xyz
'x,y,z'
loop_
_atom_site_label
_atom_site_type_symbol
_atom_site_fract_x
_atom_site_fract_y
_atom_site_fract_z
Ca1 Ca 0.250 0.250 0.128
Ca2 Ca 0.750 0.750 0.872
H1 H 0.250 0.750 0.000
H2 H 0.750 0.250 0.000
I1 I 0.250 0.250 0.701
I2 I 0.750 0.750 0.299
```

=====

No. 9
For Na2S2O7, a crystal structure in the Materials Project, relaxed with PBE gives the computed PXRD pattern in this record (Cu Kα).

Peak list (10 most intense, 2θ = 10–80°, by angle)
- 18.64°, 4.761 Å, I 85
- 20.05°, 4.428 Å, I 50
- 26.10°, 3.415 Å, I 47
- 27.79°, 3.211 Å, I 100
- 28.63°, 3.118 Å, I 88
- 28.85°, 3.094 Å, I 80
- 29.03°, 3.076 Å, I 24
- 30.21°, 2.958 Å, I 41
- 30.51°, 2.930 Å, I 60
- 37.64°, 2.390 Å, I 20

Crystal structure
```
data_Na2S2O7
_symmetry_space_group_name_H-M 'P 1'
_symmetry_Int_Tables_number 1
_cell_length_a 6.885
_cell_length_b 6.927
_cell_length_c 6.975
_cell_angle_alpha 83.86
_cell_angle_beta 63.62
_cell_angle_gamma 83.60
loop_
_symmetry_equiv_pos_as_xyz
'x,y,z'
loop_
_atom_site_label
_atom_site_type_symbol
_atom_site_fract_x
_atom_site_fract_y
_atom_site_fract_z
Na1 Na 0.115 0.164 0.257
Na2 Na 0.275 0.364 0.676
Na3 Na 0.725 0.636 0.324
Na4 Na 0.885 0.836 0.743
S1 S 0.230 0.659 0.248
S2 S 0.358 0.860 0.815
S3 S 0.642 0.140 0.185
S4 S 0.770 0.341 0.752
O1 O 0.082 0.826 0.349
O2 O 0.117 0.512 0.210
O3 O 0.211 0.743 0.787
O4 O 0.265 0.053 0.891
O5 O 0.372 0.584 0.347
O6 O 0.411 0.741 0.013
O7 O 0.422 0.143 0.355
O8 O 0.578 0.857 0.645
O9 O 0.589 0.259 0.987
O10 O 0.628 0.416 0.653
O11 O 0.735 0.947 0.109
O12 O 0.789 0.257 0.213
O13 O 0.883 0.488 0.790
O14 O 0.918 0.174 0.651
```